ZrMnZn2: computed X-ray powder pattern (Cu Kα (weighted mean of Kα1 and Kα2)), based on a PBE-relaxed structure.

Principal peaks in the range 2θ from 15° to 90°, in order of rising 2θ:
- 2θ 38.6, rel. 62
- 2θ 39.2, rel. 100
- 2θ 44.2, rel. 25
- 2θ 45.2, rel. 12
- 2θ 51.6, rel. 10
- 2θ 60.5, rel. 17
- 2θ 71.4, rel. 10
- 2θ 77.1, rel. 17

```
data_ZrMnZn2
_cell_length_a 2.9381
_cell_length_b 4.0984
_cell_length_c 5.7356
_cell_angle_alpha 90.00
_cell_angle_beta 104.76
_cell_angle_gamma 90.00
_symmetry_space_group_name_H-M 'P 1 m 1'
_symmetry_Int_Tables_number 6
_symmetry_space_group_name_Hall 'P -2y'
loop_
_atom_site_label
_atom_site_type_symbol
_atom_site_fract_x
_atom_site_fract_y
_atom_site_fract_z
_atom_site_occupancy
Zr1 Zr 0.0000 0.0000 0.0000 1
Mn1 Mn 0.6488 0.5000 0.2972 1
Zn1 Zn 0.2499 0.0000 0.4997 1
Zn2 Zn 0.3766 0.5000 0.7527 1
```